Starting from a crystal structure in Alexandria, relaxed with PBE+U, the PXRD pattern of Sr10Mg5Mo4WO30 was simulated for Cu Kα.
Kinematic intensities with the Lorentz-polarization factor, no thermal factor.

Principal peaks in the range 10 to 80 degrees two-theta, sorted by position:
hkl  Position (°2θ)  I (rel.)
0 0 5  19.2  30.3
1 0 -6  31.5  18.9
2 1 1  31.6  100.0
0 2 6  45.2  14.6
0 3 -1  56.4  15.5
2 4 0  66.1  16.3

```
data_Sr10Mg5Mo4WO30
_cell_length_a 5.650
_cell_length_b 5.652
_cell_length_c 23.380
_cell_angle_alpha 89.87
_cell_angle_beta 83.31
_cell_angle_gamma 60.06
_symmetry_space_group_name_H-M 'P -1'
_symmetry_Int_Tables_number 2
loop_
_symmetry_equiv_pos_as_xyz
'x,y,z'
'-x,-y,-z'
loop_
_atom_site_label
_atom_site_type_symbol
_atom_site_fract_x
_atom_site_fract_y
_atom_site_fract_z
Sr1 Sr 0.003 0.249 0.249
Sr2 Sr 0.198 0.151 0.950
Sr3 Sr 0.203 0.649 0.449
Sr4 Sr 0.396 0.551 0.152
Sr5 Sr 0.403 0.049 0.649
Mg1 Mg 0.099 0.200 0.100
Mg2 Mg 0.300 0.600 0.300
Mg3 Mg 0.500 0.000 0.500
Mo1 Mo 0.100 0.700 0.600
Mo2 Mo 0.300 0.100 0.800
W1 W 0.500 0.500 0.000
O1 O 0.055 0.229 0.741
O2 O 0.070 0.973 0.842
O3 O 0.077 0.454 0.843
O4 O 0.124 0.946 0.357
O5 O 0.131 0.427 0.359
O6 O 0.145 0.171 0.459
O7 O 0.258 0.627 0.940
O8 O 0.268 0.373 0.041
O9 O 0.274 0.856 0.043
O10 O 0.324 0.346 0.557
O11 O 0.331 0.827 0.558
O12 O 0.344 0.571 0.659
O13 O 0.454 0.029 0.141
O14 O 0.470 0.773 0.242
O15 O 0.477 0.254 0.243
```